Structure and computed X-ray powder pattern of SmMg16Al12 (DFT lattice parameters and positions (GGA-PBE); CuKα).

The 6 most intense peaks (5 to 70 degrees two-theta), in order of falling intensity:
36.61 deg, d = 2.454 Å, I = 100; 35.88 deg, d = 2.503 Å, I = 99; 11.60 deg, d = 7.630 Å, I = 69; 35.29 deg, d = 2.543 Å, I = 58; 39.29 deg, d = 2.293 Å, I = 50; 12.02 deg, d = 7.363 Å, I = 38

Cell and atoms:
Unit cell a=9.293 b=9.293 c=9.293 alpha=110.38 beta=110.38 gamma=110.38
Element x y z (fractional)
Sm 0.000 0.000 0.000
Mg 0.061 0.061 0.661
Mg 0.061 0.661 0.061
Mg 0.094 0.763 0.763
Mg 0.374 0.687 0.982
Mg 0.374 0.982 0.687
Mg 0.380 0.380 0.380
Mg 0.381 0.381 0.721
Mg 0.381 0.721 0.381
Mg 0.661 0.061 0.061
Mg 0.687 0.374 0.982
Mg 0.687 0.982 0.374
Mg 0.721 0.381 0.381
Mg 0.763 0.094 0.763
Mg 0.763 0.763 0.094
Mg 0.982 0.374 0.687
Mg 0.982 0.687 0.374
Al 0.013 0.192 0.375
Al 0.013 0.375 0.192
Al 0.192 0.013 0.375
Al 0.192 0.375 0.013
Al 0.203 0.566 0.566
Al 0.375 0.013 0.192
Al 0.375 0.192 0.013
Al 0.565 0.746 0.746
Al 0.566 0.203 0.566
Al 0.566 0.566 0.203
Al 0.746 0.565 0.746
Al 0.746 0.746 0.565

***

Structure and computed X-ray powder pattern of MgAl2Sn2 (DFT lattice parameters and positions (GGA-PBE); CuKα).

The 6 most intense peaks (5 to 70 degrees two-theta), in order of falling intensity:
26.13 deg, d = 3.411 Å, I = 100; 40.39 deg, d = 2.233 Å, I = 53; 33.94 deg, d = 2.642 Å, I = 48; 44.27 deg, d = 2.046 Å, I = 44; 22.99 deg, d = 3.868 Å, I = 33; 47.87 deg, d = 1.900 Å, I = 28

Cell and atoms:
Unit cell a=4.466 b=4.466 c=7.233 alpha=90.00 beta=90.00 gamma=120.00
Element x y z (fractional)
Mg 0.000 0.000 0.000
Al 0.333 0.667 0.625
Al 0.667 0.333 0.375
Sn 0.333 0.667 0.232
Sn 0.667 0.333 0.768

***

Structure and computed X-ray powder pattern of Mg17Al11Sn (DFT lattice parameters and positions (GGA-PBE); CuKα).

The 6 most intense peaks (5 to 70 degrees two-theta), in order of falling intensity:
35.92 deg, d = 2.500 Å, I = 100; 35.79 deg, d = 2.509 Å, I = 82; 35.99 deg, d = 2.495 Å, I = 81; 11.80 deg, d = 7.501 Å, I = 65; 39.79 deg, d = 2.266 Å, I = 61; 43.54 deg, d = 2.079 Å, I = 39

Cell and atoms:
Unit cell a=9.197 b=9.197 c=9.160 alpha=109.51 beta=109.51 gamma=109.24
Element x y z (fractional)
Mg 0.000 0.000 0.000
Mg 0.049 0.344 0.663
Mg 0.057 0.657 0.345
Mg 0.258 0.937 0.257
Mg 0.259 0.259 0.945
Mg 0.316 0.666 0.666
Mg 0.342 0.659 0.056
Mg 0.344 0.049 0.663
Mg 0.372 0.976 0.978
Mg 0.653 0.653 0.316
Mg 0.657 0.057 0.345
Mg 0.659 0.342 0.056
Mg 0.664 0.664 0.664
Mg 0.666 0.316 0.666
Mg 0.937 0.258 0.257
Mg 0.964 0.964 0.374
Mg 0.976 0.372 0.978
Al 0.024 0.843 0.660
Al 0.025 0.661 0.846
Al 0.295 0.483 0.292
Al 0.475 0.840 0.477
Al 0.483 0.295 0.292
Al 0.484 0.484 0.861
Al 0.660 0.846 0.026
Al 0.661 0.025 0.846
Al 0.840 0.475 0.477
Al 0.843 0.024 0.660
Al 0.846 0.660 0.026
Sn 0.288 0.288 0.484